Record 1
This entry pairs a crystal structure of Na3Tl6Bi with its theoretical X-ray diffraction stick pattern. Radiation: λ = 1.5418 Å (Cu Kα). Structure: the PBE geometry in Alexandria.

Main lines, in order of rising 2θ (2θ from 10° to 90°):
two_theta, I (rel.)
15.61, 82
18.05, 100
31.31, 71
32.64, 65
36.56, 82
37.54, 54

Atomic structure:
a b c (Å): 11.414 11.414 11.414
angles (deg): 118.92 118.92 118.92
Element x y z (fractional)
Na1 0.164 0.918 0.918
Na2 0.918 0.164 0.918
Na3 0.918 0.918 0.164
Tl1 0.257 0.257 0.747
Tl2 0.257 0.747 0.257
Tl3 0.377 0.662 0.662
Tl4 0.662 0.377 0.662
Tl5 0.662 0.662 0.377
Tl6 0.747 0.257 0.257
Bi1 0.509 0.509 0.509

Record 2
This entry pairs a crystal structure of Na2Tl3Bi3 with its theoretical X-ray diffraction stick pattern. Radiation: λ = 1.5418 Å (Cu Kα). Structure: the PBE geometry in Alexandria.

Main lines, in order of rising 2θ (2θ from 10° to 90°):
two_theta, I (rel.)
31.35, 100
35.32, 18
36.65, 17
37.08, 16
60.93, 15
62.71, 14

Atomic structure:
a b c (Å): 4.849 4.904 10.165
angles (deg): 90.00 90.00 90.00
Element x y z (fractional)
Na1 0.000 0.000 0.248
Na2 0.000 0.000 0.752
Tl1 0.000 0.500 0.000
Tl2 0.500 0.500 0.246
Tl3 0.500 0.500 0.754
Bi1 0.000 0.500 0.500
Bi2 0.500 0.000 0.000
Bi3 0.500 0.000 0.500

Record 3
This entry pairs a crystal structure of NaTl2Bi4 with its theoretical X-ray diffraction stick pattern. Radiation: λ = 1.5418 Å (Cu Kα). Structure: the PBE geometry in Alexandria.

Main lines, in order of rising 2θ (2θ from 10° to 90°):
two_theta, I (rel.)
15.53, 50
31.36, 99
31.55, 100
32.78, 45
37.20, 31
39.21, 28

Atomic structure:
a b c (Å): 7.140 7.140 6.642
angles (deg): 116.19 116.19 99.88
Element x y z (fractional)
Na1 0.000 0.000 0.000
Tl1 0.490 0.510 0.500
Tl2 0.491 0.509 0.000
Bi1 0.508 0.024 0.518
Bi2 0.509 0.016 0.017
Bi3 0.976 0.492 0.482
Bi4 0.984 0.491 0.983

Record 4
This entry pairs a crystal structure of Na3Zn2Bi4 with its theoretical X-ray diffraction stick pattern. Radiation: λ = 1.5418 Å (Cu Kα). Structure: the PBE geometry in Alexandria.

Main lines, in order of rising 2θ (2θ from 10° to 90°):
two_theta, I (rel.)
18.73, 94
22.50, 53
29.05, 100
30.86, 36
39.75, 39
40.50, 47

Atomic structure:
a b c (Å): 6.909 6.909 8.987
angles (deg): 101.01 101.01 38.32
Element x y z (fractional)
Na1 0.000 0.000 0.000
Na2 0.381 0.381 0.299
Na3 0.619 0.619 0.701
Zn1 0.275 0.275 0.599
Zn2 0.725 0.725 0.401
Bi1 0.086 0.086 0.378
Bi2 0.306 0.306 0.918
Bi3 0.694 0.694 0.082
Bi4 0.914 0.914 0.622

Record 5
This entry pairs a crystal structure of Na3Zn2Bi2 with its theoretical X-ray diffraction stick pattern. Radiation: λ = 1.5418 Å (Cu Kα). Structure: the PBE geometry in Alexandria.

Main lines, in order of rising 2θ (2θ from 10° to 90°):
two_theta, I (rel.)
18.83, 88
19.83, 100
21.83, 74
31.43, 72
37.54, 59
43.62, 54

Atomic structure:
a b c (Å): 5.824 9.787 14.006
angles (deg): 90.00 90.00 90.00
Element x y z (fractional)
Na1 0.129 0.144 0.112
Na2 0.129 0.144 0.388
Na3 0.129 0.356 0.612
Na4 0.129 0.356 0.888
Na5 0.352 0.736 0.750
Na6 0.352 0.764 0.250
Na7 0.648 0.236 0.750
Na8 0.648 0.264 0.250
Na9 0.871 0.644 0.112
Na10 0.871 0.644 0.388
Na11 0.871 0.856 0.612
Na12 0.871 0.856 0.888
Zn1 0.379 0.027 0.580
Zn2 0.379 0.027 0.920
Zn3 0.379 0.473 0.080
Zn4 0.379 0.473 0.420
Zn5 0.621 0.527 0.580
Zn6 0.621 0.527 0.920
Zn7 0.621 0.973 0.080
Zn8 0.621 0.973 0.420
Bi1 0.148 0.070 0.750
Bi2 0.148 0.430 0.250
Bi3 0.359 0.750 0.000
Bi4 0.359 0.750 0.500
Bi5 0.641 0.250 0.000
Bi6 0.641 0.250 0.500
Bi7 0.852 0.570 0.750
Bi8 0.852 0.930 0.250

Record 6
This entry pairs a crystal structure of NdTiNbBi2O9 with its theoretical X-ray diffraction stick pattern. Radiation: λ = 1.5418 Å (Cu Kα). Structure: the PBE geometry in Alexandria.

Main lines, in order of rising 2θ (2θ from 10° to 90°):
two_theta, I (rel.)
28.77, 99
28.93, 100
32.35, 32
32.64, 33
46.62, 30
48.58, 34

Atomic structure:
a b c (Å): 5.486 5.534 13.009
angles (deg): 90.00 101.72 90.00
Element x y z (fractional)
Nd1 0.244 0.000 0.000
Nd2 0.756 0.500 0.000
Ti1 0.332 0.527 0.170
Ti2 0.668 0.027 0.830
Nb1 0.176 0.531 0.831
Nb2 0.824 0.031 0.169
Bi1 0.020 0.947 0.601
Bi2 0.424 0.938 0.398
Bi3 0.576 0.438 0.602
Bi4 0.980 0.447 0.399
O1 0.018 0.539 0.688
O2 0.027 0.771 0.122
O3 0.093 0.273 0.123
O4 0.239 0.718 0.501
O5 0.262 0.218 0.502
O6 0.321 0.546 0.307
O7 0.329 0.567 0.999
O8 0.371 0.847 0.828
O9 0.468 0.342 0.828
O10 0.532 0.842 0.172
O11 0.629 0.347 0.172
O12 0.671 0.067 0.001
O13 0.679 0.046 0.693
O14 0.738 0.718 0.498
O15 0.761 0.218 0.499
O16 0.907 0.773 0.877
O17 0.973 0.271 0.878
O18 0.982 0.039 0.312

Record 7
This entry pairs a crystal structure of NpNbBi with its theoretical X-ray diffraction stick pattern. Radiation: λ = 1.5418 Å (Cu Kα). Structure: the PBE geometry in Alexandria.

Main lines, in order of rising 2θ (2θ from 10° to 90°):
two_theta, I (rel.)
23.55, 34
27.08, 57
30.43, 36
33.07, 49
34.71, 81
38.26, 100

Atomic structure:
a b c (Å): 6.124 6.124 8.159
angles (deg): 111.26 111.26 32.77
Element x y z (fractional)
Np1 0.081 0.081 0.225
Np2 0.919 0.919 0.775
Nb1 0.353 0.353 0.049
Nb2 0.647 0.647 0.951
Bi1 0.161 0.161 0.662
Bi2 0.839 0.839 0.338

Record 8
This entry pairs a crystal structure of Nb3BiO9 with its theoretical X-ray diffraction stick pattern. Radiation: λ = 1.5418 Å (Cu Kα). Structure: the PBE geometry in Alexandria.

Main lines, in order of rising 2θ (2θ from 10° to 90°):
two_theta, I (rel.)
10.53, 100
25.63, 59
26.34, 89
27.33, 87
28.59, 72
30.76, 92

Atomic structure:
a b c (Å): 5.432 7.635 8.405
angles (deg): 90.00 92.14 90.00
Element x y z (fractional)
Nb1 0.000 0.000 0.000
Nb2 0.000 0.500 0.000
Nb3 0.475 0.007 0.700
Nb4 0.475 0.493 0.700
Nb5 0.525 0.507 0.300
Nb6 0.525 0.993 0.300
Bi1 0.040 0.250 0.440
Bi2 0.960 0.750 0.560
O1 0.088 0.250 0.982
O2 0.156 0.558 0.789
O3 0.156 0.942 0.789
O4 0.263 0.539 0.466
O5 0.263 0.961 0.466
O6 0.321 0.551 0.122
O7 0.321 0.949 0.122
O8 0.344 0.250 0.658
O9 0.433 0.250 0.313
O10 0.567 0.750 0.687
O11 0.656 0.750 0.342
O12 0.679 0.051 0.878
O13 0.679 0.449 0.878
O14 0.737 0.039 0.534
O15 0.737 0.461 0.534
O16 0.844 0.058 0.211
O17 0.844 0.442 0.211
O18 0.912 0.750 0.018

Record 9
This entry pairs a crystal structure of PmNbBiO6 with its theoretical X-ray diffraction stick pattern. Radiation: λ = 1.5418 Å (Cu Kα). Structure: the PBE geometry in Alexandria.

Main lines, in order of rising 2θ (2θ from 10° to 90°):
two_theta, I (rel.)
24.52, 58
24.89, 55
31.36, 100
35.22, 30
47.66, 41
48.07, 38

Atomic structure:
a b c (Å): 5.096 5.096 10.327
angles (deg): 90.00 90.00 90.83
Element x y z (fractional)
Pm1 0.000 0.000 0.000
Pm2 0.500 0.500 0.499
Nb1 0.000 0.000 0.331
Nb2 0.500 0.500 0.830
Bi1 0.000 0.000 0.672
Bi2 0.500 0.500 0.165
O1 0.185 0.185 0.467
O2 0.198 0.198 0.181
O3 0.218 0.218 0.832
O4 0.288 0.712 0.318
O5 0.317 0.683 0.691
O6 0.323 0.677 0.997
O7 0.677 0.323 0.997
O8 0.683 0.317 0.691
O9 0.712 0.288 0.318
O10 0.782 0.782 0.832
O11 0.802 0.802 0.181
O12 0.815 0.815 0.467

Record 10
This entry pairs a crystal structure of TiNbBi3O9 with its theoretical X-ray diffraction stick pattern. Radiation: λ = 1.5418 Å (Cu Kα). Structure: the PBE geometry in Alexandria.

Main lines, in order of rising 2θ (2θ from 10° to 90°):
two_theta, I (rel.)
13.83, 35
28.70, 100
28.88, 100
32.25, 34
32.75, 33
46.63, 30

Atomic structure:
a b c (Å): 5.469 5.551 13.072
angles (deg): 90.00 101.57 90.00
Element x y z (fractional)
Ti1 0.167 0.000 0.328
Ti2 0.833 0.500 0.672
Nb1 0.327 0.004 0.672
Nb2 0.673 0.504 0.328
Bi1 0.074 0.411 0.102
Bi2 0.250 0.454 0.502
Bi3 0.479 0.422 0.900
Bi4 0.521 0.922 0.100
Bi5 0.750 0.954 0.498
Bi6 0.926 0.911 0.898
O1 0.029 0.822 0.673
O2 0.134 0.326 0.672
O3 0.168 0.051 0.500
O4 0.174 0.020 0.191
O5 0.239 0.692 0.998
O6 0.260 0.192 0.999
O7 0.405 0.749 0.374
O8 0.473 0.246 0.374
O9 0.478 0.011 0.814
O10 0.522 0.511 0.186
O11 0.527 0.746 0.626
O12 0.595 0.249 0.626
O13 0.740 0.692 0.001
O14 0.761 0.192 0.002
O15 0.826 0.520 0.809
O16 0.832 0.551 0.500
O17 0.866 0.826 0.328
O18 0.971 0.322 0.327

Record 11
This entry pairs a crystal structure of TiNbBi3O9 with its theoretical X-ray diffraction stick pattern. Radiation: λ = 1.5418 Å (Cu Kα). Structure: the PBE geometry in Alexandria.

Main lines, in order of rising 2θ (2θ from 10° to 90°):
two_theta, I (rel.)
13.93, 16
28.99, 100
32.72, 37
46.95, 22
48.90, 23
56.13, 33

Atomic structure:
a b c (Å): 13.003 13.003 13.003
angles (deg): 162.88 162.88 24.30
Element x y z (fractional)
Ti1 0.000 0.000 0.000
Nb1 0.824 0.824 0.000
Bi1 0.210 0.210 0.000
Bi2 0.423 0.423 0.000
Bi3 0.610 0.610 0.000
O1 0.071 0.071 0.000
O2 0.159 0.659 0.500
O3 0.335 0.835 0.500
O4 0.485 0.985 0.500
O5 0.659 0.159 0.500
O6 0.748 0.748 0.000
O7 0.835 0.335 0.500
O8 0.912 0.912 0.000
O9 0.985 0.485 0.500